[1]
Starting from a DFT-relaxed cell (GGA-PBE, the Materials Project), the powder diffractogram of Pr3Zr was computed for Cu Kα (weighted mean of Kα1 and Kα2).
No peak broadening, texture or thermal motion is included.

The 10 most intense peaks (2θ = 10–80°), low angle first:
Position (°2θ)  intensity
20.84  4
28.76  23
30.50  27
32.64  100
42.41  16
50.95  19
55.57  22
60.55  22
61.84  15
78.74  8

Atomic structure:
a b c (Å): 7.1688 7.1688 5.8626
angles (deg): 90.00 90.00 120.00
Space group P6_3/mmc (No. 194)
Unique sites:
1 Pr 0.1721 0.3442 0.2500 x6
2 Zr 0.3333 0.6667 0.7500 x2

---

[2]
Starting from a DFT-relaxed cell (GGA-PBE, the Materials Project), the powder diffractogram of Pt was computed for Cu Kα (weighted mean of Kα1 and Kα2).
No peak broadening, texture or thermal motion is included.

The 5 most intense peaks (2θ = 10–80°), low angle first:
Position (°2θ)  intensity
37.57  54
42.24  100
54.20  16
67.90  17
70.96  22

Atomic structure:
a b c (Å): 2.7607 2.7607 4.7921
angles (deg): 90.00 90.00 120.00
Space group P6_3/mmc (No. 194)
Unique sites:
1 Pt 0.3333 0.6667 0.2500 x2

---

[3]
Starting from a DFT-relaxed cell (GGA-PBE, the Materials Project), the powder diffractogram of Pt was computed for Cu Kα (weighted mean of Kα1 and Kα2).
No peak broadening, texture or thermal motion is included.

The 3 most intense peaks (2θ = 10–80°), low angle first:
Position (°2θ)  intensity
40.25  100
58.24  17
73.17  35

Atomic structure:
a b c (Å): 3.1684 3.1684 3.1684
angles (deg): 90.00 90.00 90.00
Space group Im-3m (No. 229)
Unique sites:
1 Pt 0.0000 0.0000 0.0000 x2

---

[4]
Starting from a DFT-relaxed cell (GGA-PBE, the Materials Project), the powder diffractogram of Pt was computed for Cu Kα (weighted mean of Kα1 and Kα2).
No peak broadening, texture or thermal motion is included.

The 3 most intense peaks (2θ = 10–80°), low angle first:
Position (°2θ)  intensity
39.24  100
45.62  49
66.50  32

Atomic structure:
a b c (Å): 3.9768 3.9768 3.9768
angles (deg): 90.00 90.00 90.00
Space group Fm-3m (No. 225)
Unique sites:
1 Pt 0.0000 0.0000 0.0000 x4

---

[5]
Starting from a DFT-relaxed cell (GGA-PBE, the Materials Project), the powder diffractogram of PuPt5 was computed for Cu Kα (weighted mean of Kα1 and Kα2).
No peak broadening, texture or thermal motion is included.

The 10 most intense peaks (2θ = 10–80°), low angle first:
Position (°2θ)  intensity
27.76  21
33.55  21
38.93  30
39.30  100
40.37  34
44.08  31
57.33  20
63.85  25
70.50  20
72.69  17

Atomic structure:
a b c (Å): 5.3427 5.3427 4.4681
angles (deg): 90.00 90.00 120.00
Space group P6/mmm (No. 191)
Unique sites:
1 Pu 0.0000 0.0000 0.0000 x1
2 Pt 0.0000 0.5000 0.5000 x3
3 Pt 0.3333 0.6667 0.0000 x2

---

[6]
Starting from a DFT-relaxed cell (GGA-PBE, the Materials Project), the powder diffractogram of PuPt3 was computed for Cu Kα (weighted mean of Kα1 and Kα2).
No peak broadening, texture or thermal motion is included.

The 10 most intense peaks (2θ = 10–80°), low angle first:
Position (°2θ)  intensity
35.30  23
37.18  27
40.06  100
52.20  16
63.35  18
68.97  21
74.65  3
75.80  21
77.65  15
79.23  3

Atomic structure:
a b c (Å): 5.8726 5.8726 4.8363
angles (deg): 90.00 90.00 120.00
Space group P6_3/mmc (No. 194)
Unique sites:
1 Pu 0.3333 0.6667 0.2500 x2
2 Pt 0.1614 0.3228 0.7500 x6